This entry pairs a crystal structure of Na2LaSnP3O12 with its calculated powder XRD pattern. Radiation: Cu Kα (λ = 1.5418 Å). Structure: a crystal structure in the Materials Project, relaxed with GGA-PBE.
Lines closer than 0.1° are merged.

Atomic structure:
Lattice parameters (Å, degrees): 16.170 9.265 9.443 90.00 124.72 90.00
Space group Cc (No. 9)
Asymmetric unit:
1 Na 0.000 0.105 0.000 [4 per cell]
2 Na 0.249 0.250 0.233 [4 per cell]
3 La 0.393 0.237 0.685 [4 per cell]
4 Sn 0.107 0.257 0.798 [4 per cell]
5 P 0.019 0.448 0.003 [4 per cell]
6 P 0.141 0.085 0.486 [4 per cell]
7 P 0.355 0.382 0.007 [4 per cell]
8 O 0.047 0.138 0.319 [4 per cell]
9 O 0.081 0.452 0.667 [4 per cell]
10 O 0.098 0.359 0.992 [4 per cell]
11 O 0.136 0.121 0.646 [4 per cell]
12 O 0.142 0.087 0.984 [4 per cell]
13 O 0.234 0.142 0.501 [4 per cell]
14 O 0.261 0.306 0.987 [4 per cell]
15 O 0.348 0.453 0.520 [4 per cell]
16 O 0.358 0.356 0.853 [4 per cell]
17 O 0.451 0.033 0.840 [4 per cell]
18 O 0.453 0.319 0.178 [4 per cell]
19 O 0.454 0.163 0.519 [4 per cell]

Most intense lines, 10° ≤ 2θ ≤ 90°, in order of rising 2θ:
- 2θ = 13.35°, rel. 28, (2 0 0)
- 2θ = 18.81°, rel. 90, (1 1 1)
- 2θ = 19.05°, rel. 63, (3 1 -1)
- 2θ = 19.16°, rel. 34, (0 2 0)
- 2θ = 26.97°, rel. 32, (2 2 -2)
- 2θ = 29.99°, rel. 100, (3 1 -3)
- 2θ = 33.20°, rel. 40, (6 0 -2)
- 2θ = 33.44°, rel. 38, (3 3 -1)